1.
Structure and calculated X-ray diffraction stick pattern of CoB2W2 (a crystal structure in the Materials Project, relaxed with PBE; copper Kα).
Kinematic intensities with the Lorentz-polarization factor, no thermal factor.

Top 8 peaks for 10 to 90 degrees two-theta, by angle:
2θ/deg, I/Imax
25.02, 24
30.74, 16
34.28, 42
39.34, 28
42.91, 100
73.78, 19
74.68, 12
85.99, 14

```
CoB2W2
1.0
-1.594 2.291 3.559
1.594 -2.291 3.559
1.594 2.291 -3.559
Co B W
1 2 2
Direct
0.000 0.000 0.000
0.295 0.500 0.795
0.705 0.500 0.205
0.300 0.800 0.500
0.700 0.200 0.500
```

=====

2.
Structure and calculated X-ray diffraction stick pattern of CoB3W3 (a crystal structure in the Materials Project, relaxed with PBE; copper Kα).
Kinematic intensities with the Lorentz-polarization factor, no thermal factor.

Top 8 peaks for 10 to 90 degrees two-theta, by angle:
2θ/deg, I/Imax
31.10, 61
39.21, 76
39.56, 100
42.76, 72
45.29, 55
49.98, 42
68.42, 35
72.13, 36

```
CoB3W3
1.0
1.594 -4.240 0.000
1.594 4.240 0.000
0.000 0.000 10.805
Co B W
2 6 6
Direct
0.000 0.000 0.000
0.000 0.000 0.500
0.291 0.709 0.750
0.414 0.586 0.603
0.414 0.586 0.897
0.586 0.414 0.103
0.586 0.414 0.397
0.709 0.291 0.250
0.002 0.998 0.250
0.289 0.711 0.107
0.289 0.711 0.393
0.711 0.289 0.607
0.711 0.289 0.893
0.998 0.002 0.750
```

=====

3.
Structure and calculated X-ray diffraction stick pattern of Co21B6W2 (a crystal structure in the Materials Project, relaxed with PBE; copper Kα).
Kinematic intensities with the Lorentz-polarization factor, no thermal factor.

Top 8 peaks for 10 to 90 degrees two-theta, by angle:
2θ/deg, I/Imax
16.95, 35
38.48, 82
42.32, 83
45.02, 100
49.26, 45
51.68, 26
58.51, 25
77.39, 41

```
Co21B6W2
1.0
0.000 5.232 5.232
5.232 0.000 5.232
5.232 5.232 0.000
Co B W
21 6 2
Direct
0.000 0.000 0.000
0.000 0.000 0.338
0.000 0.000 0.662
0.000 0.338 0.000
0.000 0.338 0.662
0.000 0.662 0.000
0.000 0.662 0.338
0.146 0.618 0.618
0.338 0.000 0.000
0.338 0.000 0.662
0.338 0.662 0.000
0.382 0.382 0.382
0.382 0.382 0.854
0.382 0.854 0.382
0.618 0.146 0.618
0.618 0.618 0.146
0.618 0.618 0.618
0.662 0.000 0.000
0.662 0.000 0.338
0.662 0.338 0.000
0.854 0.382 0.382
0.275 0.275 0.725
0.275 0.725 0.275
0.275 0.725 0.725
0.725 0.275 0.275
0.725 0.275 0.725
0.725 0.725 0.275
0.250 0.250 0.250
0.750 0.750 0.750
```

=====

4.
Structure and calculated X-ray diffraction stick pattern of YCoB4 (a crystal structure in the Materials Project, relaxed with PBE; copper Kα).
Kinematic intensities with the Lorentz-polarization factor, no thermal factor.

Top 8 peaks for 10 to 90 degrees two-theta, by angle:
2θ/deg, I/Imax
26.25, 58
31.29, 79
34.88, 18
38.62, 42
41.29, 100
44.18, 26
47.26, 31
63.76, 19

```
YCoB4
1.0
5.906 0.000 0.000
0.000 11.429 0.000
0.000 0.000 3.395
Y Co B
4 4 16
Direct
0.127 0.150 0.000
0.373 0.650 0.000
0.627 0.350 0.000
0.873 0.850 0.000
0.135 0.411 0.000
0.365 0.911 0.000
0.635 0.089 0.000
0.865 0.589 0.000
0.023 0.691 0.500
0.111 0.546 0.500
0.139 0.968 0.500
0.219 0.815 0.500
0.281 0.315 0.500
0.361 0.468 0.500
0.389 0.046 0.500
0.477 0.191 0.500
0.523 0.809 0.500
0.611 0.954 0.500
0.639 0.532 0.500
0.719 0.685 0.500
0.781 0.185 0.500
0.861 0.032 0.500
0.889 0.454 0.500
0.977 0.309 0.500
```